The following is a simulated X-ray diffraction stick pattern of K2Mg12Hg7. It was derived from a cell relaxed with GGA-PBE, using copper Kα.

Main lines, low angle first (2θ = 5–70°):
2θ (°)	I_rel	hkl
21.09	36	1 0 1
23.84	100	2 1 0
24.68	47	1 1 1
26.31	45	2 0 1
30.70	34	1 2 1
38.12	48	1 3 1
41.93	27	1 4 0
44.48	28	3 2 1
45.94	39	2 1 2
58.35	26	1 4 2

Structure:
```
K2Mg12Hg7
1.0
11.4005 0.0000 0.0000
-5.7002 9.8731 0.0000
0.0000 0.0000 4.6577
K Mg Hg
2 12 7
direct
0.0000 0.0000 0.0000
0.3333 0.6667 0.5000
0.0347 0.2865 0.5000
0.1201 0.7385 0.0000
0.2518 0.9653 0.5000
0.2615 0.3817 0.0000
0.3817 0.1873 0.0000
0.5545 0.4238 0.5000
0.5762 0.1307 0.5000
0.6183 0.8799 0.0000
0.7135 0.7482 0.5000
0.8056 0.6183 0.0000
0.8127 0.1944 0.0000
0.8693 0.4455 0.5000
0.0524 0.4621 0.0000
0.2544 0.2280 0.5000
0.4097 0.9476 0.0000
0.5379 0.5903 0.0000
0.6667 0.3333 0.0000
0.7720 0.0264 0.5000
0.9736 0.7456 0.5000
```